The following is a calculated X-ray diffraction stick pattern of Mg6VCd. It was derived from a cell relaxed with PBE, using Cu Kα X-rays.
Peak positions follow from Bragg's law for the DFT cell and can differ from measured ones.

The 10 most intense peaks (2θ = 10–90°), in order of rising 2θ:
16.32 deg, d 5.430, rel. 49.6; 24.16 deg, d 3.684, rel. 31.4; 32.99 deg, d 2.715, rel. 26.8; 33.72 deg, d 2.658, rel. 17.6; 35.80 deg, d 2.508, rel. 25.5; 37.68 deg, d 2.388, rel. 100.0; 49.47 deg, d 1.842, rel. 16.4; 58.92 deg, d 1.567, rel. 16.5; 65.57 deg, d 1.424, rel. 18.0; 70.90 deg, d 1.329, rel. 18.4

Cell and atoms:
```
data_Mg6VCd
_chemical_formula_sum 'Mg12 V2 Cd2'
_symmetry_space_group_name_H-M 'A m m 2'
_symmetry_Int_Tables_number 38
_symmetry_space_group_name_Hall 'A 2 -2'
_cell_length_a 5.0166
_cell_length_b 6.2748
_cell_length_c 10.8500
_cell_angle_alpha 90.00
_cell_angle_beta 90.00
_cell_angle_gamma 90.00
loop_
_atom_site_label
_atom_site_type_symbol
_atom_site_fract_x
_atom_site_fract_y
_atom_site_fract_z
Mg1 Mg 0.0000 0.0000 0.0000
Mg2 Mg 0.0000 0.2418 0.7459
Mg3 Mg 0.5000 0.0000 0.1671
Mg4 Mg 0.5000 0.2479 0.4153
V1 V 0.5000 0.0000 0.6673
Cd1 Cd 0.0000 0.0000 0.5042
```